Theoretical XRD peak list
Compound: Nd2AgBO5
Radiation: Cu Kα (λ = 1.5418 Å)
Structure: a crystal structure in Alexandria, relaxed with PBE

Cell and atoms:
```
Nd2AgBO5
1.0
6.7458 0.0000 0.0000
0.0000 6.7458 0.0000
0.0000 0.0000 5.1679
Nd Ag B O
4 2 2 10
direct
0.1798 0.3202 0.0000
0.3202 0.8202 0.0000
0.6798 0.1798 0.0000
0.8202 0.6798 0.0000
0.0000 0.0000 0.5000
0.5000 0.5000 0.5000
0.0000 0.5000 0.5000
0.5000 0.0000 0.5000
0.0000 0.0000 0.0000
0.1170 0.6170 0.2807
0.1170 0.6170 0.7193
0.3830 0.1170 0.2807
0.3830 0.1170 0.7193
0.5000 0.5000 0.0000
0.6170 0.8830 0.2807
0.6170 0.8830 0.7193
0.8830 0.3830 0.2807
0.8830 0.3830 0.7193
```

Main lines, low angle first (10° ≤ 2θ ≤ 80°):
| 2theta | d/Å | I_rel |
| --- | --- | --- |
| 17.16 | 5.168 | 38 |
| 25.41 | 3.505 | 36 |
| 29.61 | 3.017 | 34 |
| 31.68 | 2.825 | 100 |
| 34.42 | 2.605 | 85 |
| 34.72 | 2.584 | 31 |
| 37.72 | 2.385 | 24 |
| 42.37 | 2.133 | 38 |
| 46.26 | 1.962 | 48 |
| 55.89 | 1.645 | 22 |
| 59.24 | 1.560 | 26 |
| 60.97 | 1.520 | 23 |

***

Theoretical XRD peak list
Compound: Ag2TePdO4
Radiation: Cu Kα (λ = 1.5418 Å)
Structure: a crystal structure in Alexandria, relaxed with PBE

Cell and atoms:
```
Ag2TePdO4
1.0
4.7639 0.0000 0.0000
0.1369 5.1891 0.0000
2.0711 2.1035 5.1566
Ag Te Pd O
2 1 1 4
direct
0.0000 0.0000 0.0000
0.1363 0.6910 0.5151
0.5860 0.1471 0.5693
0.3539 0.5494 0.0772
0.3729 0.3575 0.8361
0.5909 0.9531 0.3448
0.7183 0.8323 0.8052
0.9982 0.3274 0.4117
```

Main lines, low angle first (10° ≤ 2θ ≤ 80°):
| 2theta | d/Å | I_rel |
| --- | --- | --- |
| 19.98 | 4.444 | 21 |
| 25.22 | 3.531 | 29 |
| 28.92 | 3.087 | 63 |
| 30.94 | 2.890 | 100 |
| 31.28 | 2.859 | 50 |
| 32.37 | 2.766 | 55 |
| 34.77 | 2.580 | 73 |
| 37.88 | 2.375 | 28 |
| 40.53 | 2.226 | 18 |
| 47.40 | 1.918 | 15 |
| 52.83 | 1.733 | 21 |
| 56.47 | 1.629 | 16 |

***

Theoretical XRD peak list
Compound: Mg2Ga4Rh3
Radiation: Cu Kα (λ = 1.5418 Å)
Structure: a crystal structure in Alexandria, relaxed with PBE

Cell and atoms:
```
Mg2Ga4Rh3
1.0
0.0000 4.6664 6.1146
2.7099 0.0000 6.1146
2.7099 4.6664 0.0000
Mg Ga Rh
2 4 3
direct
0.1135 0.1135 0.8865
0.8865 0.8865 0.1135
0.1713 0.4984 0.5016
0.4984 0.1713 0.8287
0.5016 0.8287 0.1713
0.8287 0.5016 0.4984
0.0000 0.0000 0.5000
0.5000 0.5000 0.0000
0.5000 0.5000 0.5000
```

Main lines, low angle first (10° ≤ 2θ ≤ 80°):
| 2theta | d/Å | I_rel |
| --- | --- | --- |
| 14.49 | 6.115 | 60 |
| 19.02 | 4.666 | 34 |
| 20.29 | 4.376 | 66 |
| 36.26 | 2.477 | 21 |
| 40.08 | 2.250 | 100 |
| 41.26 | 2.188 | 77 |
| 41.42 | 2.180 | 41 |
| 41.65 | 2.168 | 24 |
| 44.45 | 2.038 | 35 |
| 48.98 | 1.860 | 35 |
| 63.80 | 1.459 | 24 |
| 69.70 | 1.349 | 22 |

***

Theoretical XRD peak list
Compound: K12Br5O3
Radiation: Cu Kα (λ = 1.5418 Å)
Structure: a crystal structure in Alexandria, relaxed with PBE

Cell and atoms:
```
K12Br5O3
1.0
13.4445 0.0000 0.0000
-6.7223 11.6433 0.0000
0.0000 0.0000 4.3246
K Br O
12 5 3
direct
0.0000 0.1947 0.0000
0.0000 0.4502 0.0000
0.1947 0.0000 0.0000
0.2136 0.7791 0.5000
0.2209 0.4346 0.5000
0.4346 0.2209 0.5000
0.4502 0.0000 0.0000
0.5498 0.5498 0.0000
0.5654 0.7864 0.5000
0.7791 0.2136 0.5000
0.7864 0.5654 0.5000
0.8053 0.8053 0.0000
0.0000 0.6985 0.0000
0.3015 0.3015 0.0000
0.3333 0.6667 0.0000
0.6667 0.3333 0.0000
0.6985 0.0000 0.0000
0.0000 0.3324 0.5000
0.3324 0.0000 0.5000
0.6676 0.6676 0.5000
```

Main lines, low angle first (10° ≤ 2θ ≤ 80°):
| 2theta | d/Å | I_rel |
| --- | --- | --- |
| 15.22 | 5.822 | 21 |
| 20.54 | 4.325 | 22 |
| 22.91 | 3.881 | 30 |
| 27.62 | 3.229 | 35 |
| 28.95 | 3.085 | 100 |
| 30.96 | 2.888 | 64 |
| 33.55 | 2.671 | 20 |
| 33.77 | 2.654 | 31 |
| 40.25 | 2.241 | 23 |
| 41.21 | 2.191 | 30 |
| 41.77 | 2.162 | 23 |
| 61.28 | 1.513 | 20 |

***

Theoretical XRD peak list
Compound: Li2LaCu10
Radiation: Cu Kα (λ = 1.5418 Å)
Structure: a crystal structure in Alexandria, relaxed with PBE

Cell and atoms:
```
Li2LaCu10
1.0
0.0000 6.0619 6.2191
2.4093 0.0000 6.2191
2.4093 6.0619 0.0000
Li La Cu
2 1 10
direct
0.0000 0.5000 0.0000
0.5000 0.0000 0.5000
0.0000 0.0000 0.0000
0.0000 0.0000 0.5000
0.0069 0.6401 0.3599
0.2694 0.4972 0.5028
0.3599 0.9931 0.0069
0.4972 0.2694 0.7306
0.5000 0.5000 0.0000
0.5028 0.7306 0.2694
0.6401 0.0069 0.9931
0.7306 0.5028 0.4972
0.9931 0.3599 0.6401
```

Main lines, low angle first (10° ≤ 2θ ≤ 80°):
| 2theta | d/Å | I_rel |
| --- | --- | --- |
| 14.24 | 6.219 | 18 |
| 14.61 | 6.062 | 21 |
| 29.36 | 3.042 | 18 |
| 29.73 | 3.005 | 14 |
| 32.87 | 2.725 | 20 |
| 36.21 | 2.481 | 44 |
| 37.32 | 2.409 | 32 |
| 41.57 | 2.173 | 100 |
| 42.36 | 2.134 | 56 |
| 42.93 | 2.107 | 47 |
| 47.34 | 1.920 | 15 |
| 50.21 | 1.817 | 14 |

***

Theoretical XRD peak list
Compound: Sn3F7
Radiation: Cu Kα (λ = 1.5418 Å)
Structure: a crystal structure in Alexandria, relaxed with PBE

Cell and atoms:
```
Sn3F7
1.0
8.7364 0.0000 0.0000
-4.3682 7.5660 0.0000
0.0000 0.0000 5.1487
Sn F
6 14
direct
0.1913 0.3826 0.0000
0.1913 0.8087 0.0000
0.3826 0.1913 0.5000
0.6174 0.8087 0.0000
0.8087 0.1913 0.5000
0.8087 0.6174 0.5000
0.0944 0.5472 0.1784
0.1347 0.2695 0.3897
0.1347 0.8653 0.3897
0.2695 0.1347 0.8897
0.3333 0.6667 0.8009
0.4528 0.5472 0.1784
0.4528 0.9056 0.1784
0.5472 0.0944 0.6784
0.5472 0.4528 0.6784
0.6667 0.3333 0.3009
0.7305 0.8653 0.3897
0.8653 0.1347 0.8897
0.8653 0.7305 0.8897
0.9056 0.4528 0.6784
```

Main lines, low angle first (10° ≤ 2θ ≤ 80°):
| 2theta | d/Å | I_rel |
| --- | --- | --- |
| 20.87 | 4.257 | 89 |
| 23.52 | 3.783 | 37 |
| 29.30 | 3.049 | 100 |
| 31.28 | 2.860 | 25 |
| 34.85 | 2.574 | 18 |
| 39.80 | 2.265 | 38 |
| 41.34 | 2.184 | 36 |
| 42.47 | 2.128 | 24 |
| 47.52 | 1.913 | 31 |
| 55.15 | 1.665 | 19 |
| 55.90 | 1.645 | 38 |
| 59.11 | 1.563 | 24 |